# MnFe5P6O24
Simulated PXRD pattern, Cu Kα (weighted mean of Kα1 and Kα2). Input: a structure optimized by DFT (PBE+U).

Principal peaks in the range 2θ = 10–90°, low angle first:
20.52 deg, d 4.327, rel. 86
24.39 deg, d 3.650, rel. 100
33.53 deg, d 2.673, rel. 74
35.95 deg, d 2.498, rel. 42
48.02 deg, d 1.895, rel. 28
49.97 deg, d 1.825, rel. 29

Cell and atoms:
```
MnFe5P6O24
1.0
4.327 2.498 6.796
-4.327 2.498 6.796
0.000 -4.997 6.796
Mn Fe P O
1 5 6 24
Direct
0.000 0.000 0.000
0.208 0.208 0.208
0.355 0.355 0.355
0.501 0.501 0.501
0.709 0.709 0.709
0.854 0.854 0.854
0.104 0.402 0.806
0.308 0.902 0.603
0.402 0.806 0.104
0.603 0.308 0.902
0.806 0.104 0.402
0.902 0.603 0.308
0.031 0.251 0.841
0.105 0.914 0.757
0.106 0.450 0.292
0.178 0.356 0.961
0.251 0.841 0.031
0.259 0.420 0.602
0.292 0.106 0.450
0.353 0.749 0.528
0.356 0.961 0.178
0.420 0.602 0.259
0.450 0.292 0.106
0.462 0.860 0.677
0.528 0.353 0.749
0.602 0.259 0.420
0.606 0.793 0.950
0.677 0.462 0.860
0.749 0.528 0.353
0.757 0.105 0.914
0.793 0.950 0.606
0.841 0.031 0.251
0.860 0.677 0.462
0.914 0.757 0.105
0.950 0.606 0.793
0.961 0.178 0.356
```